The following is a calculated powder diffraction line list of SrGa3Rh. It was derived from DFT lattice parameters and positions (GGA-PBE), using Cu Kα X-rays.
Kinematic intensities with the Lorentz-polarization factor, no thermal factor.

The 10 most intense peaks (2θ = 5–70°), in order of rising 2θ:
2theta  I/Imax
15.93  25
27.78  27
31.21  16
35.23  36
35.89  100
43.02  24
45.44  51
57.38  26
58.62  23
69.15  12

```
SrGa3Rh
1.0
6.4231 0.0000 0.0000
-3.2115 5.5626 0.0000
0.0000 0.0000 5.7322
Sr Ga Rh
2 6 2
Direct
0.3333 0.6667 0.2495
0.6667 0.3333 0.7505
0.1885 0.3769 0.7498
0.1885 0.8115 0.7498
0.3769 0.1885 0.2502
0.6231 0.8115 0.7498
0.8115 0.1885 0.2502
0.8115 0.6231 0.2502
0.0000 0.0000 0.0000
0.0000 0.0000 0.5000
```

---

The following is a calculated powder diffraction line list of Li3AlAg2. It was derived from DFT lattice parameters and positions (GGA-PBE), using Cu Kα X-rays.
Kinematic intensities with the Lorentz-polarization factor, no thermal factor.

The 10 most intense peaks (2θ = 5–70°), in order of rising 2θ:
2theta  I/Imax
13.86  100
22.69  25
31.21  66
39.76  81
39.90  36
42.27  18
42.41  14
57.49  14
59.52  10
66.84  12

```
Li3AlAg2
1.0
6.7908 -2.2682 0.0000
6.7908 2.2682 0.0000
-4.4916 0.0000 6.3977
Li Al Ag
6 2 4
Direct
0.0400 0.0400 0.2140
0.2937 0.2937 0.4608
0.3738 0.3738 0.8792
0.6262 0.6262 0.1208
0.7063 0.7063 0.5392
0.9600 0.9600 0.7860
0.1253 0.1253 0.6377
0.8747 0.8747 0.3623
0.2028 0.2028 0.0481
0.4619 0.4619 0.2888
0.5381 0.5381 0.7112
0.7972 0.7972 0.9519
```

---

The following is a calculated powder diffraction line list of LaY5Al6. It was derived from DFT lattice parameters and positions (GGA-PBE), using Cu Kα X-rays.
Kinematic intensities with the Lorentz-polarization factor, no thermal factor.

The 10 most intense peaks (2θ = 5–70°), in order of rising 2θ:
2theta  I/Imax
24.40  41
24.58  21
34.77  51
34.91  100
43.05  18
50.00  17
50.40  8
56.44  16
62.43  35
62.69  17

```
LaY5Al6
1.0
-2.5796 3.6211 7.7406
2.5796 -3.6211 7.7406
2.5796 3.6211 -7.7406
La Y Al
1 5 6
Direct
0.0000 0.0000 0.0000
0.1610 0.6610 0.5000
0.3306 0.3306 0.0000
0.5000 0.0000 0.5000
0.6694 0.6694 0.0000
0.8390 0.3390 0.5000
0.0883 0.8289 0.2594
0.2693 0.5000 0.7693
0.4305 0.1711 0.2594
0.5695 0.8289 0.7406
0.7307 0.5000 0.2307
0.9117 0.1711 0.7406
```

---

The following is a calculated powder diffraction line list of AlPO4. It was derived from DFT lattice parameters and positions (GGA-PBE), using Cu Kα X-rays.
Kinematic intensities with the Lorentz-polarization factor, no thermal factor.

The 10 most intense peaks (2θ = 5–70°), in order of rising 2θ:
2theta  I/Imax
19.21  100
20.40  55
21.78  60
28.17  21
33.60  24
36.57  12
40.40  9
52.40  10
53.52  7
56.48  10

```
AlPO4
1.0
5.3346 0.0000 0.0000
-2.6673 4.6199 0.0000
0.0000 0.0000 8.7057
Al P O
2 2 8
Direct
0.3333 0.6667 0.0000
0.6667 0.3333 0.5000
0.3333 0.6667 0.3751
0.6667 0.3333 0.8751
0.0213 0.5107 0.4337
0.3333 0.6667 0.1995
0.4893 0.5107 0.4337
0.4893 0.9787 0.4337
0.5107 0.0213 0.9337
0.5107 0.4893 0.9337
0.6667 0.3333 0.6995
0.9787 0.4893 0.9337
```

---

The following is a calculated powder diffraction line list of La3Pm7Ho. It was derived from DFT lattice parameters and positions (GGA-PBE), using Cu Kα X-rays.
Kinematic intensities with the Lorentz-polarization factor, no thermal factor.

The 10 most intense peaks (2θ = 5–70°), in order of rising 2θ:
2theta  I/Imax
24.50  11
29.81  41
31.12  16
31.33  19
31.87  100
39.00  12
43.64  12
43.80  15
54.23  22
60.68  10

```
La3Pm7Ho
1.0
-2.9968 5.7099 5.7481
2.9968 -5.7099 5.7481
2.9968 5.7099 -5.7481
La Pm Ho
3 7 1
Direct
0.0000 0.0000 0.0000
0.2133 0.5000 0.7133
0.7867 0.5000 0.2867
0.0051 0.8010 0.2041
0.2089 0.7089 0.5000
0.4031 0.1990 0.2041
0.5000 0.5000 0.0000
0.5969 0.8010 0.7959
0.7911 0.2911 0.5000
0.9949 0.1990 0.7959
0.5000 0.0000 0.5000
```